Entry 1:
Starting from a cell relaxed with GGA-PBE, the powder diffractogram of PmNd5Y2 was simulated for copper Kα.
Lines closer than 0.1° are merged.

Largest 10 diffraction maxima, by angle, 2θ from 10° to 90°:
d 5.159, 17.19°, rel. 3, (0 0 1); d 3.648, 24.40°, rel. 3, (2 0 0); d 2.979, 30.00°, rel. 100, (2 0 1); d 2.580, 34.78°, rel. 51, (2 4 0); d 1.824, 50.00°, rel. 36, (4 0 0); d 1.556, 59.41°, rel. 43, (4 4 1); d 1.489, 62.34°, rel. 12, (4 0 2); d 1.290, 73.41°, rel. 6, (4 8 0); d 1.184, 81.28°, rel. 17, (6 0 1); d 1.154, 83.86°, rel. 16, (6 4 0)

Cell and atoms:
abc: 7.298 14.597 5.157
angles: 90.00 90.00 90.00
Space group Pbam (No. 55)
Asymmetric unit:
Pm  0.000  0.000  0.000 (multiplicity 2)
Nd  0.000  0.250  0.000 (multiplicity 4)
Nd  0.000  0.500  0.000 (multiplicity 2)
Nd  0.249  0.125  0.500 (multiplicity 4)
Y  0.250  0.375  0.500 (multiplicity 4)

***

Entry 2:
Starting from a cell relaxed with GGA-PBE, the powder diffractogram of Mn4Au was simulated for copper Kα.
Lines closer than 0.1° are merged.

Largest 10 diffraction maxima, by angle, 2θ from 10° to 90°:
d 5.246, 16.90°, rel. 35, (0 0 6); d 2.623, 34.19°, rel. 16, (0 0 12); d 2.359, 38.15°, rel. 14, (1 0 1); d 2.339, 38.49°, rel. 17, (0 1 2); d 2.214, 40.75°, rel. 100, (0 1 5); d 2.098, 43.11°, rel. 24, (0 0 15); d 2.093, 43.22°, rel. 18, (1 0 7); d 1.891, 48.12°, rel. 57, (1 0 10); d 1.366, 68.74°, rel. 20, (1 1 0); d 1.144, 84.69°, rel. 22, (1 1 15)

Cell and atoms:
abc: 2.7312 2.7312 31.4748
angles: 90.00 90.00 120.00
Space group R-3m (No. 166, hexagonal axes)
Asymmetric unit:
Mn  0.0000  0.0000  0.0922 (multiplicity 6)
Mn  0.0000  0.0000  0.3052 (multiplicity 6)
Au  0.0000  0.0000  0.5000 (multiplicity 3)

***

Entry 3:
Starting from a cell relaxed with GGA-PBE, the powder diffractogram of Ba2Si was simulated for copper Kα.
Lines closer than 0.1° are merged.

Largest 10 diffraction maxima, by angle, 2θ from 10° to 90°:
d 7.982, 11.09°, rel. 26, (0 0 2); d 3.991, 22.28°, rel. 61, (0 0 4); d 3.951, 22.50°, rel. 66, (0 1 1); d 3.930, 22.63°, rel. 66, (1 0 1); d 3.231, 27.61°, rel. 90, (1 0 3); d 2.875, 31.11°, rel. 90, (1 1 0); d 2.511, 35.76°, rel. 100, (1 0 5); d 2.333, 38.59°, rel. 60, (1 1 4); d 1.809, 50.46°, rel. 29, (2 0 4); d 1.639, 56.10°, rel. 26, (1 1 8)

Cell and atoms:
abc: 4.055 4.078 15.963
angles: 90.00 90.00 90.00
Space group Immm (No. 71)
Asymmetric unit:
Ba  0.000  0.000  0.115 (multiplicity 4)
Si  0.000  0.000  0.500 (multiplicity 2)